No. 1
# AsSBr3F6
Calculated PXRD pattern, CuKα. Input: a DFT-relaxed cell (GGA-PBE, the Materials Project).
Kinematic intensities with the Lorentz-polarization factor, no thermal factor.

Peak list (12 most intense, 2θ = 10–90°, in order of falling intensity)
- 2θ = 21.17°, rel. 100
- 2θ = 21.64°, rel. 47
- 2θ = 25.18°, rel. 43
- 2θ = 29.78°, rel. 30
- 2θ = 26.31°, rel. 29
- 2θ = 29.97°, rel. 22
- 2θ = 26.64°, rel. 21
- 2θ = 18.48°, rel. 19
- 2θ = 34.22°, rel. 18
- 2θ = 23.53°, rel. 16
- 2θ = 35.57°, rel. 15
- 2θ = 19.32°, rel. 14

```
data_AsSBr3F6
_cell_length_a 8.274
_cell_length_b 9.600
_cell_length_c 12.392
_cell_angle_alpha 90.00
_cell_angle_beta 96.82
_cell_angle_gamma 90.00
_symmetry_space_group_name_H-M 'P 1 21/c 1'
_symmetry_Int_Tables_number 14
loop_
_symmetry_equiv_pos_as_xyz
'x,y,z'
'-x,-y,-z'
'-x,y+1/2,-z+1/2'
'x,-y+1/2,z+1/2'
loop_
_atom_site_label
_atom_site_fract_x
_atom_site_fract_y
_atom_site_fract_z
As1 0.211 0.229 0.059
S1 0.203 0.701 0.713
Br1 0.205 0.592 0.285
Br2 0.257 0.559 0.850
Br3 0.420 0.699 0.628
F1 0.017 0.218 0.496
F2 0.134 0.061 0.082
F3 0.161 0.213 0.686
F4 0.262 0.173 0.929
F5 0.291 0.102 0.533
F6 0.407 0.178 0.118
```

No. 2
# AsSeBr3F6
Calculated PXRD pattern, CuKα. Input: a DFT-relaxed cell (GGA-PBE, the Materials Project).
Kinematic intensities with the Lorentz-polarization factor, no thermal factor.

Peak list (12 most intense, 2θ = 10–90°, in order of falling intensity)
- 2θ = 21.56°, rel. 100
- 2θ = 24.42°, rel. 47
- 2θ = 22.36°, rel. 40
- 2θ = 28.93°, rel. 38
- 2θ = 27.58°, rel. 36
- 2θ = 26.19°, rel. 33
- 2θ = 24.61°, rel. 31
- 2θ = 50.08°, rel. 29
- 2θ = 16.74°, rel. 25
- 2θ = 26.53°, rel. 23
- 2θ = 47.60°, rel. 23
- 2θ = 17.65°, rel. 20

```
data_AsSeBr3F6
_cell_length_a 8.060
_cell_length_b 10.048
_cell_length_c 12.453
_cell_angle_alpha 90.00
_cell_angle_beta 99.39
_cell_angle_gamma 90.00
_symmetry_space_group_name_H-M 'P 1 21/c 1'
_symmetry_Int_Tables_number 14
loop_
_symmetry_equiv_pos_as_xyz
'x,y,z'
'-x,-y,-z'
'-x,y+1/2,-z+1/2'
'x,-y+1/2,z+1/2'
loop_
_atom_site_label
_atom_site_fract_x
_atom_site_fract_y
_atom_site_fract_z
As1 0.163 0.233 0.078
Se1 0.207 0.671 0.697
Br1 0.234 0.608 0.251
Br2 0.303 0.553 0.855
Br3 0.428 0.652 0.599
F1 0.043 0.729 0.992
F2 0.091 0.071 0.109
F3 0.105 0.204 0.700
F4 0.216 0.169 0.955
F5 0.235 0.107 0.547
F6 0.366 0.192 0.147
```

No. 3
# Ga4Hg11As4Br16
Calculated PXRD pattern, CuKα. Input: a DFT-relaxed cell (GGA-PBE, the Materials Project).
Kinematic intensities with the Lorentz-polarization factor, no thermal factor.

Peak list (12 most intense, 2θ = 10–90°, in order of falling intensity)
- 2θ = 27.87°, rel. 100
- 2θ = 26.76°, rel. 96
- 2θ = 27.07°, rel. 79
- 2θ = 13.29°, rel. 75
- 2θ = 45.82°, rel. 72
- 2θ = 26.17°, rel. 57
- 2θ = 28.42°, rel. 54
- 2θ = 46.22°, rel. 53
- 2θ = 42.55°, rel. 49
- 2θ = 31.51°, rel. 48
- 2θ = 22.44°, rel. 46
- 2θ = 13.00°, rel. 36

```
data_Ga4Hg11As4Br16
_cell_length_a 13.779
_cell_length_b 7.854
_cell_length_c 23.324
_cell_angle_alpha 90.00
_cell_angle_beta 98.64
_cell_angle_gamma 90.00
_symmetry_space_group_name_H-M 'C 1 2/m 1'
_symmetry_Int_Tables_number 12
loop_
_symmetry_equiv_pos_as_xyz
'x,y,z'
'-x,-y,-z'
'-x,y,-z'
'x,-y,z'
'x+1/2,y+1/2,z'
'-x+1/2,-y+1/2,-z'
'-x+1/2,y+1/2,-z'
'x+1/2,-y+1/2,z'
loop_
_atom_site_label
_atom_site_fract_x
_atom_site_fract_y
_atom_site_fract_z
Ga1 0.139 0.000 0.390
Ga2 0.241 0.500 0.114
Hg1 0.000 0.500 0.500
Hg2 0.016 0.249 0.221
Hg3 0.029 0.000 0.057
Hg4 0.032 0.500 0.616
Hg5 0.234 0.500 0.783
As1 0.057 0.500 0.731
As2 0.086 0.000 0.170
Br1 0.031 0.000 0.649
Br2 0.071 0.500 0.079
Br3 0.163 0.000 0.491
Br4 0.182 0.248 0.915
Br5 0.209 0.242 0.351
Br6 0.238 0.000 0.783
```

No. 4
# Ge19As4Br4
Calculated PXRD pattern, CuKα. Input: a DFT-relaxed cell (GGA-PBE, the Materials Project).
Kinematic intensities with the Lorentz-polarization factor, no thermal factor.

Peak list (12 most intense, 2θ = 10–90°, in order of falling intensity)
- 2θ = 31.22°, rel. 100
- 2θ = 49.58°, rel. 51
- 2θ = 52.62°, rel. 47
- 2θ = 30.05°, rel. 35
- 2θ = 28.85°, rel. 30
- 2θ = 51.12°, rel. 23
- 2θ = 34.49°, rel. 19
- 2θ = 50.35°, rel. 17
- 2θ = 35.53°, rel. 11
- 2θ = 33.43°, rel. 10
- 2θ = 83.65°, rel. 9
- 2θ = 86.03°, rel. 9

```
data_Ge19As4Br4
_cell_length_a 10.721
_cell_length_b 10.721
_cell_length_c 10.721
_cell_angle_alpha 90.00
_cell_angle_beta 90.00
_cell_angle_gamma 90.00
_symmetry_space_group_name_H-M 'P -4 3 n'
_symmetry_Int_Tables_number 218
_symmetry_space_group_name_Hall 'P -4n 2 3'
loop_
_atom_site_label
_atom_site_fract_x
_atom_site_fract_y
_atom_site_fract_z
Ge1 0.000 0.250 0.500
Ge2 0.002 0.117 0.690
Ge3 0.182 0.182 0.818
As1 0.184 0.184 0.184
Br1 0.000 0.000 0.000
Br2 0.000 0.500 0.250
```

> Which formula does entry 4 have?

Ge19As4Br4